# AcSm8Tm3
Theoretical powder diffractogram, Cu Kα X-rays. Input: DFT lattice parameters and positions (GGA-PBE).
Peak positions follow from Bragg's law for the DFT cell and can differ from measured ones.

Largest 6 diffraction maxima, sorted by position, 5 to 70 degrees two-theta:
| 2θ (°) | d_spacing | I_rel |
| --- | --- | --- |
| 29.34 | 3.044 | 358 |
| 30.56 | 2.925 | 323 |
| 32.26 | 2.775 | 1000 |
| 50.12 | 1.820 | 249 |
| 55.40 | 1.659 | 218 |
| 59.85 | 1.545 | 290 |

Crystal structure
```
AcSm8Tm3
1.0
6.3046 0.0000 0.0000
-3.1523 5.4599 0.0000
0.0000 0.0000 11.7015
Ac Sm Tm
1 8 3
Direct
0.0000 0.0000 0.0000
0.0000 0.3368 0.7438
0.0000 0.6632 0.2562
0.3333 0.6667 0.0000
0.3368 0.0000 0.7438
0.3368 0.3368 0.2562
0.6632 0.0000 0.2562
0.6632 0.6632 0.7438
0.6667 0.3333 0.0000
0.0000 0.0000 0.5000
0.3333 0.6667 0.5000
0.6667 0.3333 0.5000
```

# Ce2Dy3Te8
Theoretical powder diffractogram, Cu Kα X-rays. Input: DFT lattice parameters and positions (GGA-PBE).
Peak positions follow from Bragg's law for the DFT cell and can differ from measured ones.

Largest 6 diffraction maxima, sorted by position, 5 to 70 degrees two-theta:
| 2θ (°) | d_spacing | I_rel |
| --- | --- | --- |
| 18.48 | 4.801 | 201 |
| 25.02 | 3.559 | 468 |
| 31.03 | 2.882 | 1000 |
| 36.75 | 2.445 | 329 |
| 41.60 | 2.171 | 233 |
| 41.78 | 2.162 | 396 |

Crystal structure
```
Ce2Dy3Te8
1.0
7.9083 -4.3427 0.0000
7.9083 4.3427 0.0000
-2.3412 0.0000 7.1023
Ce Dy Te
2 3 8
Direct
0.2474 0.2474 0.1737
0.7526 0.7526 0.8263
0.2429 0.7571 0.5000
0.5000 0.5000 0.0000
0.7571 0.2429 0.5000
0.1118 0.1118 0.3900
0.1346 0.6236 0.0878
0.3764 0.8654 0.9122
0.3817 0.3817 0.5862
0.6183 0.6183 0.4138
0.6236 0.1346 0.0878
0.8654 0.3764 0.9122
0.8882 0.8882 0.6100
```

# SnHgMoHAu
Theoretical powder diffractogram, Cu Kα X-rays. Input: DFT lattice parameters and positions (GGA-PBE).
Peak positions follow from Bragg's law for the DFT cell and can differ from measured ones.

Largest 6 diffraction maxima, sorted by position, 5 to 70 degrees two-theta:
| 2θ (°) | d_spacing | I_rel |
| --- | --- | --- |
| 32.02 | 2.795 | 354 |
| 36.50 | 2.462 | 669 |
| 38.14 | 2.359 | 1000 |
| 41.03 | 2.200 | 301 |
| 52.96 | 1.729 | 175 |
| 54.67 | 1.679 | 221 |

Crystal structure
```
SnHgMoHAu
1.0
3.1682 0.0000 0.0000
0.0000 4.4000 0.0000
0.0000 0.0000 5.9395
Sn Hg Mo H Au
1 1 1 1 1
Direct
0.0000 0.0000 0.0000
0.5000 0.0000 0.4861
0.5000 0.5000 0.1412
0.0000 0.5000 0.3035
0.0000 0.5000 0.6971
```